1.
Computed powder diffraction line list
Compound: Nb2Re2Mo3
Radiation: Cu Kα, 1.54184 Å
Structure: a DFT-relaxed cell (GGA-PBE, OQMD)

Cell and atoms:
a b c (Å): 7.6002 7.6002 7.6002
angles (deg): 33.89 33.89 33.89
Positions (direct):
1 Nb 0.0000 0.0000 0.0000
2 Nb 0.4894 0.4894 0.4894
3 Re 0.2439 0.2439 0.2439
4 Re 0.7401 0.7401 0.7401
5 Mo 0.1200 0.1200 0.1200
6 Mo 0.6201 0.6201 0.6201
7 Mo 0.8708 0.8708 0.8708

Top 6 peaks for 10° ≤ 2θ ≤ 90°, in order of rising 2θ:
two_theta  I (rel.)
24.64  22
28.60  24
40.74  100
41.04  95
59.21  32
74.35  33

=====

2.
Computed powder diffraction line list
Compound: Nb3Sn3Mo2
Radiation: Cu Kα, 1.54184 Å
Structure: a DFT-relaxed cell (GGA-PBE, OQMD)

Cell and atoms:
a b c (Å): 6.9743 6.9743 6.9743
angles (deg): 46.07 46.07 46.07
Positions (direct):
1 Nb 0.0000 0.0000 0.0000
2 Nb 0.4223 0.4223 0.4223
3 Nb 0.5777 0.5777 0.5777
4 Sn 0.0000 0.0000 0.5000
5 Sn 0.0000 0.5000 0.0000
6 Sn 0.5000 0.0000 0.0000
7 Mo 0.2919 0.2919 0.2919
8 Mo 0.7081 0.7081 0.7081

Top 6 peaks for 10° ≤ 2θ ≤ 90°, in order of rising 2θ:
two_theta  I (rel.)
32.82  60
35.94  81
38.39  71
38.77  100
42.90  52
62.59  48

=====

3.
Computed powder diffraction line list
Compound: NbTc3Mo
Radiation: Cu Kα, 1.54184 Å
Structure: a DFT-relaxed cell (GGA-PBE, OQMD)

Cell and atoms:
a b c (Å): 5.9945 5.8060 5.8060
angles (deg): 59.83 90.00 90.00
Positions (direct):
1 Nb 0.0000 0.0000 0.0000
2 Nb 0.5000 0.0000 0.0000
3 Tc 0.2500 0.5262 0.9437
4 Tc 0.2500 0.5310 0.5274
5 Tc 0.2500 0.9434 0.5310
6 Tc 0.7500 0.5274 0.5310
7 Tc 0.7500 0.5310 0.9434
8 Tc 0.7500 0.9437 0.5262
9 Mo 0.0000 0.3344 0.3344
10 Mo 0.5000 0.3344 0.3344

Top 6 peaks for 10° ≤ 2θ ≤ 90°, in order of rising 2θ:
two_theta  I (rel.)
34.86  98
35.75  100
43.42  78
47.21  48
47.87  26
63.70  32

=====

4.
Computed powder diffraction line list
Compound: NbMo2W
Radiation: Cu Kα, 1.54184 Å
Structure: a DFT-relaxed cell (GGA-PBE, OQMD)

Cell and atoms:
a b c (Å): 4.5246 4.5246 4.5246
angles (deg): 60.00 60.00 60.00
Positions (direct):
1 Nb 0.0000 0.0000 0.0000
2 Mo 0.2500 0.2500 0.2500
3 Mo 0.7500 0.7500 0.7500
4 W 0.5000 0.5000 0.5000

Top 6 peaks for 10° ≤ 2θ ≤ 90°, in order of rising 2θ:
two_theta  I (rel.)
24.09  8
39.85  100
47.11  4
57.62  17
72.35  34
85.93  11

=====

5.
Computed powder diffraction line list
Compound: ZrNbMo2
Radiation: Cu Kα, 1.54184 Å
Structure: a DFT-relaxed cell (GGA-PBE, OQMD)

Cell and atoms:
a b c (Å): 4.6351 4.6351 4.6351
angles (deg): 60.00 60.00 60.00
Positions (direct):
1 Zr 0.0000 0.0000 0.0000
2 Nb 0.7500 0.7500 0.7500
3 Mo 0.2500 0.2500 0.2500
4 Mo 0.5000 0.5000 0.5000

Top 4 peaks for 10° ≤ 2θ ≤ 90°, in order of rising 2θ:
two_theta  I (rel.)
38.86  100
56.12  17
70.36  33
83.41  11

=====

6.
Computed powder diffraction line list
Compound: NdU2Mo3
Radiation: Cu Kα, 1.54184 Å
Structure: a DFT-relaxed cell (GGA-PBE, OQMD)

Cell and atoms:
a b c (Å): 6.0875 6.0875 4.0752
angles (deg): 90.00 90.00 120.00
Positions (direct):
1 Nd 0.0000 0.0000 0.0000
2 U 0.3333 0.6667 0.0000
3 U 0.6667 0.3333 0.0000
4 Mo 0.0000 0.5000 0.5000
5 Mo 0.5000 0.0000 0.5000
6 Mo 0.5000 0.5000 0.5000

Top 6 peaks for 10° ≤ 2θ ≤ 90°, in order of rising 2θ:
two_theta  I (rel.)
16.82  23
29.34  47
36.86  100
40.77  22
57.08  31
60.87  19